For LiNdThSc, DFT lattice parameters and positions (GGA-PBE) gives the computed X-ray diffraction stick pattern in this record (Cu Kα, 1.54184 Å).

Atomic structure:
```
data_LiNdThSc
_chemical_formula_sum 'Li4 Nd4 Th4 Sc4'
_space_group_name_H-M_alt 'F -4 3 m'
_space_group_IT_number 216
_space_group_name_Hall 'F -4 2 3'
_cell_length_a 7.6360
_cell_length_b 7.6360
_cell_length_c 7.6360
_cell_angle_alpha 90.00
_cell_angle_beta 90.00
_cell_angle_gamma 90.00
loop_
_atom_site_label
_atom_site_fract_x
_atom_site_fract_y
_atom_site_fract_z
_atom_site_occupancy
Li1 0.0000 0.0000 0.0000 1
Nd1 0.2500 0.2500 0.7500 1
Th1 0.2500 0.2500 0.2500 1
Sc1 0.0000 0.0000 0.5000 1
```

Main lines, most intense first (2θ = 10–90°):
2θ/deg, I/Imax, hkl
33.18, 100, 2 2 0
23.30, 69, 2 0 0
59.29, 38, 4 2 2
53.68, 31, 4 2 0
40.94, 22, 2 2 2
47.64, 18, 4 0 0
79.36, 16, 6 2 0
74.57, 15, 6 0 0
69.66, 12, 4 4 0
20.14, 10, 1 1 1

=====

For Tb2CeTm, DFT lattice parameters and positions (GGA-PBE) gives the computed X-ray diffraction stick pattern in this record (Cu Kα, 1.54184 Å).

Atomic structure:
```
data_Tb2CeTm
_chemical_formula_sum 'Tb6 Ce3 Tm3'
_space_group_name_H-M_alt 'R -3 m'
_space_group_IT_number 166
_space_group_name_Hall '-R 3 2"'
_cell_length_a 3.4012
_cell_length_b 3.4012
_cell_length_c 36.7723
_cell_angle_alpha 90.00
_cell_angle_beta 90.00
_cell_angle_gamma 120.00
loop_
_atom_site_label
_atom_site_fract_x
_atom_site_fract_y
_atom_site_fract_z
_atom_site_occupancy
Tb1 0.0000 0.0000 0.0890 1
Ce1 0.0000 0.0000 0.0000 1
Tm1 0.0000 0.0000 0.5000 1
```

Main lines, most intense first (2θ = 10–90°):
2θ/deg, I/Imax, hkl
30.74, 100, 0 1 2
39.19, 80, 1 0 10
29.14, 68, 0 0 12
62.46, 47, 1 1 12
32.75, 45, 0 1 5
53.91, 41, 1 1 0
30.44, 30, 1 0 1
64.05, 24, 1 0 22
34.92, 23, 1 0 7
40.83, 19, 0 1 11

=====

For Zr12In3Bi, DFT lattice parameters and positions (GGA-PBE) gives the computed X-ray diffraction stick pattern in this record (Cu Kα, 1.54184 Å).

Atomic structure:
```
data_Zr12In3Bi
_chemical_formula_sum 'Zr12 In3 Bi1'
_space_group_name_H-M_alt 'P m m m'
_space_group_IT_number 47
_cell_length_a 5.6634
_cell_length_b 5.6636
_cell_length_c 11.3455
_cell_angle_alpha 90.00
_cell_angle_beta 90.00
_cell_angle_gamma 90.00
loop_
_space_group_symop_operation_xyz
'x,y,z'
'-x,-y,-z'
'-x,-y,z'
'x,y,-z'
'x,-y,-z'
'-x,y,z'
'-x,y,-z'
'x,-y,z'
loop_
_atom_site_label
_atom_site_fract_x
_atom_site_fract_y
_atom_site_fract_z
_atom_site_occupancy
Zr1 0.0000 0.0000 0.1235 1
Zr2 0.0000 0.0000 0.3716 1
Zr3 0.2516 0.5000 0.2481 1
Zr4 0.5000 0.2459 0.5000 1
Zr5 0.5000 0.2499 0.0000 1
In1 0.0000 0.5000 0.0000 1
In2 0.5000 0.0000 0.2508 1
Bi1 0.0000 0.5000 0.5000 1
```

Main lines, most intense first (2θ = 10–90°):
2θ/deg, I/Imax, hkl
38.93, 100, 2 1 2
35.42, 84, 2 0 2
61.20, 52, 2 3 2
31.58, 44, 2 0 0
58.75, 19, 0 3 4
79.30, 12, 3 2 6
65.98, 11, 4 0 0
77.12, 11, 4 1 4
74.93, 9, 4 0 4
22.19, 8, 1 1 0

=====

For PaH2F6, DFT lattice parameters and positions (GGA-PBE) gives the computed X-ray diffraction stick pattern in this record (Cu Kα, 1.54184 Å).

Atomic structure:
```
data_PaH2F6
_chemical_formula_sum 'Pa2 H4 F12'
_space_group_name_H-M_alt 'C 1 2/m 1'
_space_group_IT_number 12
_cell_length_a 5.0528
_cell_length_b 10.0481
_cell_length_c 5.3544
_cell_angle_alpha 90.00
_cell_angle_beta 101.49
_cell_angle_gamma 90.00
loop_
_space_group_symop_operation_xyz
'x,y,z'
'-x,-y,-z'
'-x,y,-z'
'x,-y,z'
'x+1/2,y+1/2,z'
'-x+1/2,-y+1/2,-z'
'-x+1/2,y+1/2,-z'
'x+1/2,-y+1/2,z'
loop_
_atom_site_label
_atom_site_fract_x
_atom_site_fract_y
_atom_site_fract_z
_atom_site_occupancy
Pa1 0.0000 0.0000 0.0000 1
H1 0.0000 0.1665 0.5000 1
F1 0.0808 0.1613 0.7161 1
F2 0.1093 0.5000 0.7828 1
```

Main lines, most intense first (2θ = 10–90°):
2θ/deg, I/Imax, hkl
19.99, 100, 1 1 0
24.53, 67, 0 2 1
17.65, 63, 0 2 0
16.90, 60, 0 0 1
23.82, 55, 1 1 -1
34.85, 42, 1 3 -1
28.56, 32, 1 1 1
36.53, 24, 1 1 -2
44.82, 21, 1 3 -2
39.78, 19, 0 4 1